Record 1
Starting from DFT lattice parameters and positions (PBE), the powder diffractogram of ZrIn2Cu was computed for Cu Kα (weighted mean of Kα1 and Kα2).

Most intense lines, 10 to 90 degrees two-theta, low angle first:
33.52°, rel. 381; 36.41°, rel. 230; 38.08°, rel. 1000; 50.21°, rel. 90; 50.43°, rel. 88; 59.32°, rel. 70; 62.89°, rel. 109; 63.03°, rel. 107; 69.88°, rel. 84; 71.64°, rel. 59

Cell and atoms:
Lattice parameters (Å, degrees): 11.2052 3.1158 5.3473 90.00 118.26 90.00
Space group C2/m (No. 12)
Asymmetric unit:
Zr 0.0000 0.0000 0.0000 (multiplicity 2)
In 0.2232 0.0000 0.7235 (multiplicity 4)
Cu 0.0000 0.5000 0.5000 (multiplicity 2)

=====

Record 2
Starting from DFT lattice parameters and positions (PBE), the powder diffractogram of Zr4InCu was computed for Cu Kα (weighted mean of Kα1 and Kα2).

Most intense lines, 10 to 90 degrees two-theta, low angle first:
33.56°, rel. 1000; 37.32°, rel. 114; 37.45°, rel. 428; 41.92°, rel. 498; 42.03°, rel. 330; 58.43°, rel. 194; 64.17°, rel. 182; 67.39°, rel. 202; 77.34°, rel. 99; 82.85°, rel. 128

Cell and atoms:
Lattice parameters (Å, degrees): 6.8153 6.8153 5.5404 90.00 90.00 90.00
Space group P4/mcc (No. 124)
Asymmetric unit:
Zr 0.1396 0.3325 0.0000 (multiplicity 8)
In 0.5000 0.5000 0.2500 (multiplicity 2)
Cu 0.0000 0.0000 0.2500 (multiplicity 2)

=====

Record 3
Starting from DFT lattice parameters and positions (PBE), the powder diffractogram of Cu2Ir was computed for Cu Kα (weighted mean of Kα1 and Kα2).

Most intense lines, 10 to 90 degrees two-theta, low angle first:
13.08°, rel. 677; 39.25°, rel. 180; 39.97°, rel. 153; 40.21°, rel. 234; 41.45°, rel. 388; 44.62°, rel. 1000; 45.27°, rel. 380; 58.96°, rel. 139; 77.83°, rel. 186; 86.75°, rel. 170

Cell and atoms:
Lattice parameters (Å, degrees): 2.6666 13.5336 4.3569 90.00 90.00 90.00
Space group Cmcm (No. 63)
Asymmetric unit:
Cu 0.0000 0.0551 0.2500 (multiplicity 4)
Cu 0.0000 0.3966 0.2500 (multiplicity 4)
Ir 0.0000 0.2749 0.7500 (multiplicity 4)

=====

Record 4
Starting from DFT lattice parameters and positions (PBE), the powder diffractogram of CuIr was computed for Cu Kα (weighted mean of Kα1 and Kα2).

Most intense lines, 10 to 90 degrees two-theta, low angle first:
17.57°, rel. 352; 28.44°, rel. 265; 41.70°, rel. 1000; 42.32°, rel. 799; 43.33°, rel. 473; 45.27°, rel. 330; 57.26°, rel. 187; 64.45°, rel. 291; 79.22°, rel. 170; 86.06°, rel. 206

Cell and atoms:
Lattice parameters (Å, degrees): 2.6624 10.0978 4.0067 90.00 90.00 90.00
Space group Cmcm (No. 63)
Asymmetric unit:
Cu 0.0000 0.0608 0.2500 (multiplicity 4)
Ir 0.0000 0.3140 0.2500 (multiplicity 4)

=====

Record 5
Starting from DFT lattice parameters and positions (PBE), the powder diffractogram of CuIr was computed for Cu Kα (weighted mean of Kα1 and Kα2).

Most intense lines, 10 to 90 degrees two-theta, low angle first:
10.28°, rel. 676; 38.49°, rel. 245; 39.95°, rel. 203; 42.01°, rel. 252; 44.07°, rel. 1000; 58.28°, rel. 143; 69.63°, rel. 169; 78.21°, rel. 219; 84.77°, rel. 198; 86.18°, rel. 145

Cell and atoms:
Lattice parameters (Å, degrees): 2.7007 2.7007 8.6032 90.00 90.00 120.00
Space group P-3m1 (No. 164)
Asymmetric unit:
Cu 0.3333 0.6667 0.3820 (multiplicity 2)
Ir 0.3333 0.6667 0.8715 (multiplicity 2)

=====

Record 6
Starting from DFT lattice parameters and positions (PBE), the powder diffractogram of Cu2Ir was computed for Cu Kα (weighted mean of Kα1 and Kα2).

Most intense lines, 10 to 90 degrees two-theta, low angle first:
22.23°, rel. 317; 25.90°, rel. 454; 36.78°, rel. 186; 41.32°, rel. 1000; 42.47°, rel. 925; 47.73°, rel. 328; 49.28°, rel. 596; 71.04°, rel. 387; 86.04°, rel. 233; 88.35°, rel. 256

Cell and atoms:
Lattice parameters (Å, degrees): 2.5661 3.8109 7.9996 90.00 90.00 90.00
Space group Immm (No. 71)
Asymmetric unit:
Cu 0.0000 0.0000 0.1676 (multiplicity 4)
Ir 0.0000 0.0000 0.5000 (multiplicity 2)

=====

Record 7
Starting from DFT lattice parameters and positions (PBE), the powder diffractogram of K2CuIr was computed for Cu Kα (weighted mean of Kα1 and Kα2).

Most intense lines, 10 to 90 degrees two-theta, low angle first:
17.96°, rel. 712; 27.08°, rel. 710; 27.46°, rel. 554; 31.71°, rel. 732; 36.97°, rel. 1000; 37.83°, rel. 876; 38.12°, rel. 926; 41.39°, rel. 378; 46.42°, rel. 645; 52.84°, rel. 413

Cell and atoms:
Lattice parameters (Å, degrees): 3.4387 3.4387 9.8779 90.00 90.00 90.00
Space group P4mm (No. 99)
Asymmetric unit:
K 0.0000 0.0000 0.0000 (multiplicity 1)
K 0.5000 0.5000 0.4423 (multiplicity 1)
Cu 0.0000 0.0000 0.6913 (multiplicity 1)
Ir 0.5000 0.5000 0.7518 (multiplicity 1)

=====

Record 8
Starting from DFT lattice parameters and positions (PBE), the powder diffractogram of Sr2La6Cu3IrO16 was computed for Cu Kα (weighted mean of Kα1 and Kα2).

Most intense lines, 10 to 90 degrees two-theta, low angle first:
30.76°, rel. 957; 30.91°, rel. 1000; 32.15°, rel. 562; 33.27°, rel. 591; 41.25°, rel. 219; 41.46°, rel. 205; 46.94°, rel. 535; 56.63°, rel. 168; 57.88°, rel. 204; 57.98°, rel. 171

Cell and atoms:
Lattice parameters (Å, degrees): 17.1626 5.3857 11.1361 90.00 130.08 90.00
Space group C2/m (No. 12)
Asymmetric unit:
Sr 0.1369 0.0000 0.1559 (multiplicity 4)
La 0.1402 0.5000 0.3995 (multiplicity 4)
La 0.1423 0.5000 0.8713 (multiplicity 4)
La 0.1433 0.0000 0.6378 (multiplicity 4)
Cu 0.0000 0.5000 0.5000 (multiplicity 2)
Cu 0.0014 0.0000 0.7509 (multiplicity 4)
Ir 0.0000 0.5000 0.0000 (multiplicity 2)
O 0.0049 0.2461 0.3819 (multiplicity 8)
O 0.0313 0.2523 0.9016 (multiplicity 8)
O 0.1562 0.5000 0.2012 (multiplicity 4)
O 0.1805 0.5000 0.6854 (multiplicity 4)
O 0.1839 0.0000 0.4386 (multiplicity 4)
O 0.1966 0.0000 0.8916 (multiplicity 4)

=====

Record 9
Starting from DFT lattice parameters and positions (PBE), the powder diffractogram of LaTa2CuIr was computed for Cu Kα (weighted mean of Kα1 and Kα2).

Most intense lines, 10 to 90 degrees two-theta, low angle first:
18.12°, rel. 484; 25.74°, rel. 392; 31.66°, rel. 492; 36.72°, rel. 1000; 41.24°, rel. 250; 45.39°, rel. 175; 52.91°, rel. 704; 62.98°, rel. 202; 66.13°, rel. 239; 89.56°, rel. 331

Cell and atoms:
Lattice parameters (Å, degrees): 4.8949 4.8949 4.8944 90.00 90.00 90.00
Space group P4/mmm (No. 123)
Asymmetric unit:
La 0.0000 0.0000 0.0000 (multiplicity 1)
Ta 0.0000 0.5000 0.5000 (multiplicity 2)
Cu 0.5000 0.5000 0.0000 (multiplicity 1)
Ir 0.5000 0.5000 0.5000 (multiplicity 1)

=====

Record 10
Starting from DFT lattice parameters and positions (PBE), the powder diffractogram of LaZnCuIr was computed for Cu Kα (weighted mean of Kα1 and Kα2).

Most intense lines, 10 to 90 degrees two-theta, low angle first:
18.09°, rel. 346; 24.33°, rel. 589; 34.02°, rel. 792; 36.64°, rel. 185; 38.75°, rel. 388; 38.86°, rel. 193; 41.40°, rel. 1000; 56.41°, rel. 211; 58.02°, rel. 180; 68.46°, rel. 140

Cell and atoms:
Lattice parameters (Å, degrees): 7.5479 4.3661 5.5199 90.00 117.30 90.00
Space group Cm (No. 8)
Asymmetric unit:
La 0.0000 0.0000 0.0000 (multiplicity 2)
Zn 0.4899 0.0000 0.4689 (multiplicity 2)
Cu 0.1972 0.0000 0.5909 (multiplicity 2)
Ir 0.2947 0.5000 0.3831 (multiplicity 2)

=====

Record 11
Starting from DFT lattice parameters and positions (PBE), the powder diffractogram of LaZnCu2Ir was computed for Cu Kα (weighted mean of Kα1 and Kα2).

Most intense lines, 10 to 90 degrees two-theta, low angle first:
15.73°, rel. 267; 31.40°, rel. 340; 32.48°, rel. 321; 32.69°, rel. 338; 35.30°, rel. 1000; 44.67°, rel. 287; 45.29°, rel. 554; 46.06°, rel. 266; 46.22°, rel. 246; 65.52°, rel. 178

Cell and atoms:
Lattice parameters (Å, degrees): 4.0020 4.0576 11.2706 90.00 90.00 90.00
Space group Imm2 (No. 44)
Asymmetric unit:
La 0.0000 0.0000 0.0000 (multiplicity 2)
Zn 0.0000 0.5000 0.7591 (multiplicity 2)
Cu 0.0000 0.0000 0.6306 (multiplicity 2)
Cu 0.0000 0.5000 0.2622 (multiplicity 2)
Ir 0.0000 0.0000 0.4086 (multiplicity 2)

=====

Record 12
Starting from DFT lattice parameters and positions (PBE), the powder diffractogram of Li2Zn5Cu2Ir was computed for Cu Kα (weighted mean of Kα1 and Kα2).

Most intense lines, 10 to 90 degrees two-theta, low angle first:
11.96°, rel. 565; 16.94°, rel. 654; 18.96°, rel. 455; 35.38°, rel. 166; 38.46°, rel. 270; 39.53°, rel. 211; 41.45°, rel. 1000; 44.16°, rel. 350; 55.52°, rel. 164; 71.60°, rel. 146

Cell and atoms:
Lattice parameters (Å, degrees): 10.4680 10.4680 2.8938 90.00 90.00 90.00
Space group P4/mbm (No. 127)
Asymmetric unit:
Li 0.1733 0.3267 0.0000 (multiplicity 4)
Zn 0.0000 0.5000 0.5000 (multiplicity 2)
Zn 0.0646 0.8091 0.5000 (multiplicity 8)
Cu 0.1338 0.6338 0.0000 (multiplicity 4)
Ir 0.0000 0.0000 0.0000 (multiplicity 2)

=====

Record 13
Starting from DFT lattice parameters and positions (PBE), the powder diffractogram of LuMnCuIr was computed for Cu Kα (weighted mean of Kα1 and Kα2).

Most intense lines, 10 to 90 degrees two-theta, low angle first:
23.97°, rel. 283; 39.64°, rel. 1000; 46.86°, rel. 152; 57.31°, rel. 168; 63.01°, rel. 66; 71.93°, rel. 338; 77.06°, rel. 51; 85.40°, rel. 108

Cell and atoms:
Lattice parameters (Å, degrees): 6.4304 6.4304 6.4304 90.00 90.00 90.00
Space group F-43m (No. 216)
Asymmetric unit:
Lu 0.0000 0.0000 0.0000 (multiplicity 4)
Mn 0.0000 0.0000 0.5000 (multiplicity 4)
Cu 0.2500 0.2500 0.2500 (multiplicity 4)
Ir 0.2500 0.2500 0.7500 (multiplicity 4)

=====

Record 14
Starting from DFT lattice parameters and positions (PBE), the powder diffractogram of MgCuIr2 was computed for Cu Kα (weighted mean of Kα1 and Kα2).

Most intense lines, 10 to 90 degrees two-theta, low angle first:
20.11°, rel. 1000; 36.14°, rel. 202; 37.15°, rel. 210; 39.58°, rel. 503; 40.88°, rel. 469; 41.71°, rel. 810; 42.60°, rel. 815; 44.78°, rel. 254; 58.21°, rel. 325; 74.50°, rel. 159

Cell and atoms:
Lattice parameters (Å, degrees): 2.7388 4.4147 4.8659 90.00 95.85 90.00
Space group P2/m (No. 10)
Asymmetric unit:
Mg 0.0000 0.0000 0.0000 (multiplicity 1)
Cu 0.5000 0.0000 0.5000 (multiplicity 1)
Ir 0.2892 0.5000 0.7361 (multiplicity 2)

=====

Record 15
Starting from DFT lattice parameters and positions (PBE), the powder diffractogram of Mg3CuIr2 was computed for Cu Kα (weighted mean of Kα1 and Kα2).

Most intense lines, 10 to 90 degrees two-theta, low angle first:
21.56°, rel. 163; 27.74°, rel. 343; 29.02°, rel. 605; 40.57°, rel. 1000; 41.41°, rel. 228; 41.59°, rel. 236; 50.73°, rel. 134; 60.14°, rel. 151; 74.95°, rel. 155; 75.21°, rel. 160

Cell and atoms:
Lattice parameters (Å, degrees): 4.3427 13.0832 3.2164 90.00 90.00 90.00
Space group Cmmm (No. 65)
Asymmetric unit:
Mg 0.0000 0.0000 0.0000 (multiplicity 2)
Mg 0.0000 0.3282 0.0000 (multiplicity 4)
Cu 0.0000 0.5000 0.5000 (multiplicity 2)
Ir 0.0000 0.1604 0.5000 (multiplicity 4)